# 1
The following is a computed powder diffraction line list of NbSiPd. It was derived from a DFT-relaxed cell (GGA-PBE, the Materials Project), using λ = 1.5418 Å (Cu Kα).
Peak positions follow from Bragg's law for the DFT cell and can differ from measured ones.

Top 6 peaks for 5° ≤ 2θ ≤ 70°, in order of rising 2θ:
| d/Å | two_theta | I/Imax |
| --- | --- | --- |
| 3.002 | 29.76 | 18 |
| 2.466 | 36.43 | 100 |
| 2.342 | 38.44 | 40 |
| 2.330 | 38.64 | 22 |
| 2.077 | 43.59 | 24 |
| 1.899 | 47.91 | 24 |

Structure:
Unit cell a=6.484 b=3.798 c=7.491 alpha=90.00 beta=90.00 gamma=90.00
Sites, in units of the cell vectors:
Nb  0.028  0.250  0.165
Nb  0.472  0.750  0.665
Nb  0.528  0.250  0.335
Nb  0.972  0.750  0.835
Si  0.233  0.750  0.371
Si  0.267  0.250  0.871
Si  0.733  0.750  0.129
Si  0.767  0.250  0.629
Pd  0.148  0.250  0.562
Pd  0.352  0.750  0.062
Pd  0.648  0.250  0.938
Pd  0.852  0.750  0.438


# 2
The following is a computed powder diffraction line list of Nb2Pt. It was derived from a DFT-relaxed cell (GGA-PBE, the Materials Project), using λ = 1.5418 Å (Cu Kα).
Peak positions follow from Bragg's law for the DFT cell and can differ from measured ones.

Top 6 peaks for 5° ≤ 2θ ≤ 70°, in order of rising 2θ:
| d/Å | two_theta | I/Imax |
| --- | --- | --- |
| 4.605 | 19.27 | 35 |
| 2.593 | 34.60 | 31 |
| 2.430 | 36.99 | 69 |
| 2.244 | 40.19 | 59 |
| 2.201 | 41.01 | 100 |
| 2.149 | 42.04 | 59 |

Structure:
Unit cell a=10.020 b=10.020 c=5.185 alpha=90.00 beta=90.00 gamma=90.00
Sites, in units of the cell vectors:
Nb  0.037  0.374  0.000
Nb  0.105  0.105  0.000
Nb  0.126  0.537  0.500
Nb  0.181  0.819  0.248
Nb  0.181  0.819  0.752
Nb  0.319  0.319  0.252
Nb  0.319  0.319  0.748
Nb  0.374  0.037  0.000
Nb  0.395  0.605  0.500
Nb  0.463  0.874  0.500
Nb  0.537  0.126  0.500
Nb  0.605  0.395  0.500
Nb  0.626  0.963  0.000
Nb  0.681  0.681  0.252
Nb  0.681  0.681  0.748
Nb  0.819  0.181  0.248
Nb  0.819  0.181  0.752
Nb  0.874  0.463  0.500
Nb  0.895  0.895  0.000
Nb  0.963  0.626  0.000
Pt  0.000  0.000  0.500
Pt  0.067  0.263  0.500
Pt  0.237  0.567  0.000
Pt  0.263  0.067  0.500
Pt  0.433  0.763  0.000
Pt  0.500  0.500  0.000
Pt  0.567  0.237  0.000
Pt  0.737  0.933  0.500
Pt  0.763  0.433  0.000
Pt  0.933  0.737  0.500


# 3
The following is a computed powder diffraction line list of NbPt4. It was derived from a DFT-relaxed cell (GGA-PBE, the Materials Project), using λ = 1.5418 Å (Cu Kα).
Peak positions follow from Bragg's law for the DFT cell and can differ from measured ones.

Top 6 peaks for 5° ≤ 2θ ≤ 70°, in order of rising 2θ:
| d/Å | two_theta | I/Imax |
| --- | --- | --- |
| 11.620 | 7.61 | 13 |
| 2.324 | 38.75 | 34 |
| 2.313 | 38.94 | 100 |
| 2.005 | 45.21 | 66 |
| 1.421 | 65.73 | 22 |
| 1.416 | 65.99 | 22 |

Structure:
Unit cell a=11.734 b=11.734 c=11.734 alpha=13.86 beta=13.86 gamma=13.86
Sites, in units of the cell vectors:
Nb  0.000  0.000  0.000
Pt  0.200  0.200  0.200
Pt  0.399  0.399  0.399
Pt  0.601  0.601  0.601
Pt  0.800  0.800  0.800


# 4
The following is a computed powder diffraction line list of NbPt3. It was derived from a DFT-relaxed cell (GGA-PBE, the Materials Project), using λ = 1.5418 Å (Cu Kα).
Peak positions follow from Bragg's law for the DFT cell and can differ from measured ones.

Top 6 peaks for 5° ≤ 2θ ≤ 70°, in order of rising 2θ:
| d/Å | two_theta | I/Imax |
| --- | --- | --- |
| 2.439 | 36.84 | 27 |
| 2.315 | 38.90 | 42 |
| 2.182 | 41.37 | 57 |
| 2.158 | 41.86 | 100 |
| 1.679 | 54.65 | 18 |
| 1.422 | 65.67 | 18 |

Structure:
Unit cell a=4.630 b=5.608 c=4.949 alpha=90.00 beta=90.00 gamma=90.00
Sites, in units of the cell vectors:
Nb  0.250  0.250  0.156
Nb  0.750  0.750  0.844
Pt  0.250  0.000  0.665
Pt  0.250  0.500  0.665
Pt  0.250  0.750  0.159
Pt  0.750  0.000  0.335
Pt  0.750  0.250  0.841
Pt  0.750  0.500  0.335


# 5
The following is a computed powder diffraction line list of NbPt3. It was derived from a DFT-relaxed cell (GGA-PBE, the Materials Project), using λ = 1.5418 Å (Cu Kα).
Peak positions follow from Bragg's law for the DFT cell and can differ from measured ones.

Top 6 peaks for 5° ≤ 2θ ≤ 70°, in order of rising 2θ:
| d/Å | two_theta | I/Imax |
| --- | --- | --- |
| 2.407 | 37.36 | 39 |
| 2.314 | 38.93 | 82 |
| 2.248 | 40.11 | 57 |
| 2.239 | 40.28 | 100 |
| 2.104 | 42.98 | 47 |
| 2.075 | 43.61 | 80 |

Structure:
Unit cell a=4.937 b=5.620 c=9.415 alpha=90.00 beta=100.59 gamma=90.00
Sites, in units of the cell vectors:
Nb  0.121  0.250  0.378
Nb  0.287  0.250  0.873
Nb  0.713  0.750  0.127
Nb  0.879  0.750  0.622
Pt  0.109  0.750  0.376
Pt  0.209  0.001  0.123
Pt  0.209  0.499  0.123
Pt  0.292  0.750  0.872
Pt  0.380  0.501  0.626
Pt  0.380  0.999  0.626
Pt  0.620  0.001  0.374
Pt  0.620  0.499  0.374
Pt  0.708  0.250  0.128
Pt  0.791  0.501  0.877
Pt  0.791  0.999  0.877
Pt  0.891  0.250  0.624


# 6
The following is a computed powder diffraction line list of Rb3Nb. It was derived from a DFT-relaxed cell (GGA-PBE, the Materials Project), using λ = 1.5418 Å (Cu Kα).
Peak positions follow from Bragg's law for the DFT cell and can differ from measured ones.

Top 6 peaks for 5° ≤ 2θ ≤ 70°, in order of rising 2θ:
| d/Å | two_theta | I/Imax |
| --- | --- | --- |
| 3.499 | 25.46 | 100 |
| 3.143 | 28.40 | 38 |
| 2.836 | 31.54 | 14 |
| 2.222 | 40.60 | 14 |
| 2.106 | 42.95 | 24 |
| 1.876 | 48.53 | 33 |

Structure:
Unit cell a=7.206 b=7.206 c=7.206 alpha=128.29 beta=128.29 gamma=76.16
Sites, in units of the cell vectors:
Rb  0.000  0.000  0.000
Rb  0.250  0.750  0.500
Rb  0.750  0.250  0.500
Nb  0.500  0.500  0.000


# 7
The following is a computed powder diffraction line list of Rb3Nb. It was derived from a DFT-relaxed cell (GGA-PBE, the Materials Project), using λ = 1.5418 Å (Cu Kα).
Peak positions follow from Bragg's law for the DFT cell and can differ from measured ones.

Top 6 peaks for 5° ≤ 2θ ≤ 70°, in order of rising 2θ:
| d/Å | two_theta | I/Imax |
| --- | --- | --- |
| 3.793 | 23.46 | 23 |
| 3.442 | 25.88 | 25 |
| 3.322 | 26.84 | 100 |
| 2.190 | 41.23 | 19 |
| 1.963 | 46.24 | 22 |
| 1.848 | 49.32 | 23 |

Structure:
Unit cell a=8.759 b=8.759 c=6.885 alpha=90.00 beta=90.00 gamma=120.00
Sites, in units of the cell vectors:
Rb  0.179  0.357  0.250
Rb  0.179  0.821  0.250
Rb  0.357  0.179  0.750
Rb  0.643  0.821  0.250
Rb  0.821  0.179  0.750
Rb  0.821  0.643  0.750
Nb  0.333  0.667  0.750
Nb  0.667  0.333  0.250


# 8
The following is a computed powder diffraction line list of RbNb2S4. It was derived from a DFT-relaxed cell (GGA-PBE, the Materials Project), using λ = 1.5418 Å (Cu Kα).
Peak positions follow from Bragg's law for the DFT cell and can differ from measured ones.

Top 6 peaks for 5° ≤ 2θ ≤ 70°, in order of rising 2θ:
| d/Å | two_theta | I/Imax |
| --- | --- | --- |
| 7.050 | 12.56 | 39 |
| 4.700 | 18.88 | 45 |
| 2.988 | 29.91 | 58 |
| 2.521 | 35.61 | 100 |
| 2.279 | 39.54 | 62 |
| 1.725 | 53.09 | 41 |

Structure:
Unit cell a=3.450 b=3.450 c=14.100 alpha=90.00 beta=90.00 gamma=120.00
Sites, in units of the cell vectors:
Rb  0.000  0.000  0.000
Nb  0.000  0.000  0.293
Nb  0.000  0.000  0.707
S  0.333  0.667  0.602
S  0.333  0.667  0.818
S  0.667  0.333  0.182
S  0.667  0.333  0.398


# 9
The following is a computed powder diffraction line list of RbNb6Se8. It was derived from a DFT-relaxed cell (GGA-PBE, the Materials Project), using λ = 1.5418 Å (Cu Kα).
Peak positions follow from Bragg's law for the DFT cell and can differ from measured ones.

Top 6 peaks for 5° ≤ 2θ ≤ 70°, in order of rising 2θ:
| d/Å | two_theta | I/Imax |
| --- | --- | --- |
| 8.876 | 9.97 | 51 |
| 2.759 | 32.45 | 37 |
| 2.462 | 36.50 | 56 |
| 2.429 | 37.00 | 100 |
| 2.072 | 43.68 | 39 |
| 1.762 | 51.88 | 34 |

Structure:
Unit cell a=10.249 b=10.249 c=3.523 alpha=90.00 beta=90.00 gamma=120.00
Sites, in units of the cell vectors:
Rb  0.000  0.000  0.000
Nb  0.106  0.618  0.750
Nb  0.382  0.488  0.750
Nb  0.488  0.106  0.250
Nb  0.512  0.894  0.750
Nb  0.618  0.512  0.250
Nb  0.894  0.382  0.250
Se  0.060  0.344  0.748
Se  0.284  0.940  0.748
Se  0.333  0.667  0.250
Se  0.344  0.284  0.252
Se  0.656  0.716  0.748
Se  0.667  0.333  0.750
Se  0.716  0.060  0.252
Se  0.940  0.656  0.252


# 10
The following is a computed powder diffraction line list of RbNb6Te8. It was derived from a DFT-relaxed cell (GGA-PBE, the Materials Project), using λ = 1.5418 Å (Cu Kα).
Peak positions follow from Bragg's law for the DFT cell and can differ from measured ones.

Top 6 peaks for 5° ≤ 2θ ≤ 70°, in order of rising 2θ:
| d/Å | two_theta | I/Imax |
| --- | --- | --- |
| 9.465 | 9.34 | 46 |
| 3.155 | 28.29 | 50 |
| 2.920 | 30.61 | 66 |
| 2.625 | 34.16 | 70 |
| 2.576 | 34.83 | 100 |
| 2.200 | 41.02 | 38 |

Structure:
Unit cell a=3.711 b=10.924 c=10.930 alpha=60.04 beta=89.99 gamma=89.99
Sites, in units of the cell vectors:
Rb  0.000  0.000  0.000
Nb  0.248  0.489  0.899
Nb  0.248  0.612  0.488
Nb  0.248  0.899  0.612
Nb  0.752  0.101  0.388
Nb  0.752  0.388  0.512
Nb  0.752  0.511  0.101
Te  0.251  0.333  0.333
Te  0.254  0.341  0.723
Te  0.254  0.724  0.935
Te  0.254  0.935  0.341
Te  0.746  0.065  0.659
Te  0.746  0.276  0.065
Te  0.746  0.659  0.277
Te  0.749  0.667  0.667


# 11
The following is a computed powder diffraction line list of NbRe. It was derived from a DFT-relaxed cell (GGA-PBE, the Materials Project), using λ = 1.5418 Å (Cu Kα).
Peak positions follow from Bragg's law for the DFT cell and can differ from measured ones.

Top 6 peaks for 5° ≤ 2θ ≤ 70°, in order of rising 2θ:
| d/Å | two_theta | I/Imax |
| --- | --- | --- |
| 4.536 | 19.57 | 11 |
| 2.618 | 34.26 | 6 |
| 2.274 | 39.63 | 20 |
| 2.267 | 39.76 | 100 |
| 1.606 | 57.38 | 14 |
| 1.600 | 57.60 | 7 |

Structure:
Unit cell a=2.781 b=2.781 c=4.536 alpha=90.00 beta=90.00 gamma=109.74
Sites, in units of the cell vectors:
Nb  0.000  0.000  0.000
Re  0.500  0.500  0.500